Starting from a DFT-relaxed cell (GGA-PBE, OQMD), the powder X-ray diffraction pattern of Sm2Ho2CBr5 was simulated for Cu Kα (λ = 1.5418 Å).
Intensities are scaled so that the largest is 100.

Peak list (10 most intense, 10° ≤ 2θ ≤ 90°, sorted by position)
2theta	d (Å)	I_rel
10.12	8.737	20
10.95	8.084	59
30.70	2.912	40
31.14	2.872	22
31.65	2.827	100
34.58	2.594	34
40.19	2.244	19
44.54	2.034	25
44.81	2.023	25
47.03	1.932	18

Crystal structure
Cell: 9.1682 9.1682 8.2923 Å, 102.59 102.59 24.33°
Sites, in units of the cell vectors:
Sm 0.0012 0.0012 0.2955
Sm 0.9988 0.9988 0.7045
Ho 0.3632 0.3632 0.4293
Ho 0.6368 0.6368 0.5707
C 0.5000 0.5000 0.5000
Br 0.1668 0.1668 0.8300
Br 0.1727 0.1727 0.3398
Br 0.5000 0.5000 0.0000
Br 0.8273 0.8273 0.6602
Br 0.8332 0.8332 0.1700